1.
Starting from DFT lattice parameters and positions (GGA-PBE), the XRD peak list of ScMn3 was computed for Cu Kα (weighted mean of Kα1 and Kα2).
Intensities are scaled so that the largest is 100.

The 6 most intense peaks (2θ from 10° to 90°), by angle:
2θ 39.60, 2.276 Å, I = 31; 2θ 41.11, 2.196 Å, I = 92; 2θ 41.57, 2.172 Å, I = 84; 2θ 43.49, 2.081 Å, I = 46; 2θ 45.41, 1.997 Å, I = 100; 2θ 70.02, 1.344 Å, I = 23

Atomic structure:
Cell lengths 5.094, 8.324, 5.087 Å; angles 90.00, 90.00, 90.00 degrees
Fractional coordinates of all 16 atoms:
1 Sc 0.010 0.250 0.132
2 Sc 0.490 0.750 0.632
3 Sc 0.510 0.250 0.368
4 Sc 0.990 0.750 0.868
5 Mn 0.058 0.750 0.353
6 Mn 0.188 0.031 0.628
7 Mn 0.188 0.469 0.628
8 Mn 0.312 0.531 0.128
9 Mn 0.312 0.969 0.128
10 Mn 0.442 0.250 0.853
11 Mn 0.558 0.750 0.147
12 Mn 0.688 0.031 0.872
13 Mn 0.688 0.469 0.872
14 Mn 0.812 0.531 0.372
15 Mn 0.812 0.969 0.372
16 Mn 0.942 0.250 0.647

2.
Starting from DFT lattice parameters and positions (GGA-PBE), the XRD peak list of ScMn2 was computed for Cu Kα (weighted mean of Kα1 and Kα2).
Intensities are scaled so that the largest is 100.

The 6 most intense peaks (2θ from 10° to 90°), by angle:
2θ 18.25, 4.861 Å, I = 65; 2θ 36.96, 2.432 Å, I = 47; 2θ 41.32, 2.185 Å, I = 100; 2θ 44.98, 2.015 Å, I = 96; 2θ 49.42, 1.844 Å, I = 31; 2θ 68.56, 1.369 Å, I = 19

Atomic structure:
Cell lengths 5.199, 5.199, 4.967 Å; angles 90.00, 90.00, 138.45 degrees
Fractional coordinates of all 6 atoms:
1 Sc 0.216 0.784 0.750
2 Sc 0.784 0.216 0.250
3 Mn 0.057 0.943 0.250
4 Mn 0.500 0.500 0.000
5 Mn 0.500 0.500 0.500
6 Mn 0.943 0.057 0.750

3.
Starting from DFT lattice parameters and positions (GGA-PBE), the XRD peak list of Sc3Mn3Se8 was computed for Cu Kα (weighted mean of Kα1 and Kα2).
Intensities are scaled so that the largest is 100.

The 6 most intense peaks (2θ from 10° to 90°), by angle:
2θ 26.74, 3.334 Å, I = 30; 2θ 27.95, 3.192 Å, I = 63; 2θ 32.39, 2.764 Å, I = 83; 2θ 46.46, 1.955 Å, I = 100; 2θ 55.09, 1.667 Å, I = 26; 2θ 86.17, 1.129 Å, I = 30

Atomic structure:
Cell lengths 7.817, 7.817, 7.817 Å; angles 60.03, 60.03, 60.03 degrees
Fractional coordinates of all 14 atoms:
1 Sc 0.000 0.500 0.500
2 Sc 0.500 0.000 0.500
3 Sc 0.500 0.500 0.000
4 Mn 0.125 0.125 0.125
5 Mn 0.500 0.500 0.500
6 Mn 0.875 0.875 0.875
7 Se 0.255 0.255 0.255
8 Se 0.261 0.261 0.730
9 Se 0.261 0.730 0.261
10 Se 0.270 0.739 0.739
11 Se 0.730 0.261 0.261
12 Se 0.739 0.270 0.739
13 Se 0.739 0.739 0.270
14 Se 0.745 0.745 0.745

4.
Starting from DFT lattice parameters and positions (GGA-PBE), the XRD peak list of ScMnSe2 was computed for Cu Kα (weighted mean of Kα1 and Kα2).
Intensities are scaled so that the largest is 100.

The 6 most intense peaks (2θ from 10° to 90°), by angle:
2θ 28.12, 3.173 Å, I = 43; 2θ 28.27, 3.157 Å, I = 49; 2θ 35.66, 2.518 Å, I = 100; 2θ 41.16, 2.193 Å, I = 57; 2θ 43.79, 2.067 Å, I = 32; 2θ 50.71, 1.800 Å, I = 34

Atomic structure:
Cell lengths 3.670, 6.565, 6.565 Å; angles 31.82, 90.00, 90.00 degrees
Fractional coordinates of all 4 atoms:
1 Sc 0.000 0.000 0.000
2 Mn 0.500 0.785 0.785
3 Se 0.000 0.335 0.335
4 Se 0.500 0.584 0.584